For Li2AlAg4, a cell relaxed with GGA-PBE gives the calculated powder diffraction line list in this record (Cu Kα X-rays).
Peak positions follow from Bragg's law for the DFT cell and can differ from measured ones.

Top 8 peaks for 10 to 90 degrees two-theta, in order of rising 2θ:
2θ (°)  Rel. int.
25.0  623
30.4  752
39.8  1000
43.6  381
50.9  338
60.8  192
69.5  178
77.4  261

Structure:
Unit cell a=5.873 b=5.873 c=7.135 alpha=90.00 beta=90.00 gamma=90.00
Space group I4/mmm (No. 139)
Unique sites:
Li: 0.000 0.500 0.000 (multiplicity 4)
Al: 0.000 0.000 0.000 (multiplicity 2)
Ag: 0.250 0.250 0.250 (multiplicity 8)

---

For LiCaH2SeF, a cell relaxed with GGA-PBE gives the calculated powder diffraction line list in this record (Cu Kα X-rays).
Peak positions follow from Bragg's law for the DFT cell and can differ from measured ones.

Top 8 peaks for 10 to 90 degrees two-theta, in order of rising 2θ:
2θ (°)  Rel. int.
11.2  1000
27.0  108
28.9  176
29.5  182
32.1  177
33.9  119
35.4  120
46.1  116

Structure:
Unit cell a=3.956 b=3.957 c=8.024 alpha=96.32 beta=91.81 gamma=119.90
Space group P1 (No. 1)
Unique sites:
Li: 0.000 0.000 0.000 (multiplicity 1)
Ca: 0.411 0.781 0.338 (multiplicity 1)
H: 0.805 0.685 0.754 (multiplicity 1)
H: 0.924 0.873 0.717 (multiplicity 1)
Se: 0.691 0.370 0.108 (multiplicity 1)
F: 0.103 0.152 0.445 (multiplicity 1)

---

For Ba2TlHg3, a cell relaxed with GGA-PBE gives the calculated powder diffraction line list in this record (Cu Kα X-rays).
Peak positions follow from Bragg's law for the DFT cell and can differ from measured ones.

Top 8 peaks for 10 to 90 degrees two-theta, in order of rising 2θ:
2θ (°)  Rel. int.
19.1  486
28.0  1000
30.2  738
37.5  559
38.5  468
39.2  254
48.9  394
54.8  348

Structure:
Unit cell a=4.796 b=4.799 c=18.771 alpha=90.00 beta=90.00 gamma=90.00
Space group Imm2 (No. 44)
Unique sites:
Ba: 0.000 0.000 0.000 (multiplicity 2)
Ba: 0.000 0.500 0.245 (multiplicity 2)
Tl: 0.000 0.000 0.413 (multiplicity 2)
Hg: 0.000 0.000 0.578 (multiplicity 2)
Hg: 0.000 0.500 0.665 (multiplicity 2)
Hg: 0.000 0.500 0.824 (multiplicity 2)

---

For Ce5Dy3P8, a cell relaxed with GGA-PBE gives the calculated powder diffraction line list in this record (Cu Kα X-rays).
Peak positions follow from Bragg's law for the DFT cell and can differ from measured ones.

Top 8 peaks for 10 to 90 degrees two-theta, in order of rising 2θ:
2θ (°)  Rel. int.
26.9  811
31.2  1000
44.7  729
52.9  396
55.5  255
71.7  159
73.9  326
82.3  247

Structure:
Unit cell a=8.1170 b=8.1170 c=19.8638 alpha=90.00 beta=90.00 gamma=120.00
Space group R-3m (No. 166, hexagonal axes)
Unique sites:
Ce: 0.0000 0.0000 0.0000 (multiplicity 3)
Ce: 0.0000 0.0000 0.5000 (multiplicity 3)
Ce: 0.0000 0.5000 0.0000 (multiplicity 9)
Dy: 0.0000 0.5000 0.5000 (multiplicity 9)
P: 0.0000 0.0000 0.2492 (multiplicity 6)
P: 0.0017 0.5009 0.7509 (multiplicity 18)

---

For Tm3ThPb4, a cell relaxed with GGA-PBE gives the calculated powder diffraction line list in this record (Cu Kα X-rays).
Peak positions follow from Bragg's law for the DFT cell and can differ from measured ones.

Top 8 peaks for 10 to 90 degrees two-theta, in order of rising 2θ:
2θ (°)  Rel. int.
32.0  252
32.1  1000
39.7  285
51.9  266
57.2  200
67.2  124
67.3  246
85.3  134

Structure:
Unit cell a=11.178 b=6.419 c=6.426 alpha=90.00 beta=90.00 gamma=90.00
Space group Pmna (No. 53)
Unique sites:
Tm: 0.000 0.000 0.000 (multiplicity 2)
Tm: 0.250 0.257 0.250 (multiplicity 4)
Th: 0.000 0.500 0.500 (multiplicity 2)
Pb: 0.000 0.000 0.500 (multiplicity 2)
Pb: 0.000 0.500 0.000 (multiplicity 2)
Pb: 0.250 0.244 0.750 (multiplicity 4)

---

For Li4Ag5Pd2, a cell relaxed with GGA-PBE gives the calculated powder diffraction line list in this record (Cu Kα X-rays).
Peak positions follow from Bragg's law for the DFT cell and can differ from measured ones.

Top 8 peaks for 10 to 90 degrees two-theta, in order of rising 2θ:
2θ (°)  Rel. int.
18.8  509
26.5  547
37.4  267
38.9  1000
39.1  995
43.9  355
44.1  352
67.4  275

Structure:
Unit cell a=9.106 b=4.107 c=9.661 alpha=90.00 beta=102.61 gamma=90.00
Space group C2/m (No. 12)
Unique sites:
Li: 0.052 0.000 0.314 (multiplicity 4)
Li: 0.189 0.500 0.783 (multiplicity 4)
Ag: 0.000 0.500 0.500 (multiplicity 2)
Ag: 0.136 0.000 0.949 (multiplicity 4)
Ag: 0.222 0.000 0.597 (multiplicity 4)
Pd: 0.086 0.500 0.139 (multiplicity 4)

---

For Th2GaB2Ru5, a cell relaxed with GGA-PBE gives the calculated powder diffraction line list in this record (Cu Kα X-rays).
Peak positions follow from Bragg's law for the DFT cell and can differ from measured ones.

Top 8 peaks for 10 to 90 degrees two-theta, in order of rising 2θ:
2θ (°)  Rel. int.
20.4  308
34.7  1000
38.1  872
38.3  298
39.2  262
40.6  765
41.5  237
71.0  284

Structure:
Unit cell a=9.739 b=9.739 c=3.212 alpha=90.00 beta=90.00 gamma=90.00
Space group P4/mbm (No. 127)
Unique sites:
Th: 0.177 0.323 0.000 (multiplicity 4)
Ga: 0.000 0.000 0.000 (multiplicity 2)
B: 0.122 0.622 0.000 (multiplicity 4)
Ru: 0.000 0.500 0.500 (multiplicity 2)
Ru: 0.070 0.780 0.500 (multiplicity 8)